Simulated powder X-ray diffraction pattern
Compound: CaNd12Er6
Radiation: Cu Kα, 1.54184 Å
Structure: a crystal structure in Alexandria, relaxed with GGA-PBE
Peak positions follow from Bragg's law for the DFT cell and can differ from measured ones.

Cell and atoms:
a b c (Å): 9.5041 9.5041 9.5041
angles (deg): 107.88 107.88 107.88
Positions (direct):
Ca: 0.0000 0.0000 0.0000
Nd: 0.1116 0.5000 0.8884
Nd: 0.1116 0.8884 0.5000
Nd: 0.1587 0.3754 0.3754
Nd: 0.3754 0.1587 0.3754
Nd: 0.3754 0.3754 0.1587
Nd: 0.5000 0.1116 0.8884
Nd: 0.5000 0.8884 0.1116
Nd: 0.6246 0.6246 0.8413
Nd: 0.6246 0.8413 0.6246
Nd: 0.8413 0.6246 0.6246
Nd: 0.8884 0.1116 0.5000
Nd: 0.8884 0.5000 0.1116
Er: 0.2619 0.6870 0.6870
Er: 0.3130 0.3130 0.7381
Er: 0.3130 0.7381 0.3130
Er: 0.6870 0.2619 0.6870
Er: 0.6870 0.6870 0.2619
Er: 0.7381 0.3130 0.3130

Main lines, by angle (2θ = 5–70°):
2theta, d_spacing, I (rel.)
10.9, 8.110, 35.9
25.7, 3.472, 51.9
28.6, 3.117, 63.6
30.6, 2.925, 100.0
30.8, 2.904, 29.1
32.1, 2.789, 22.9
33.1, 2.703, 29.2
34.2, 2.621, 64.6
36.8, 2.442, 24.3
37.7, 2.387, 24.0
38.1, 2.361, 47.5
60.2, 1.537, 24.5